Theoretical powder XRD pattern of TiMnO3 for Cu Kα, from a cell relaxed with GGA+U.
Kinematic intensities with the Lorentz-polarization factor, no thermal factor.

Main lines, by angle (5° ≤ 2θ ≤ 70°):
two_theta	I (rel.)
23.3	16
32.3	100
34.1	67
39.3	19
47.7	45
52.5	28
59.9	33
61.1	29

Crystal structure
a b c (Å): 5.564 5.564 5.564
angles (deg): 56.39 56.39 56.39
Positions (direct):
Ti: 0.000 0.000 0.000
Ti: 0.500 0.500 0.500
Mn: 0.278 0.278 0.278
Mn: 0.778 0.778 0.778
O: 0.118 0.344 0.721
O: 0.221 0.844 0.618
O: 0.344 0.721 0.118
O: 0.618 0.221 0.844
O: 0.721 0.118 0.344
O: 0.844 0.618 0.221